This entry pairs a crystal structure of MnC5IO5 with its simulated powder diffraction line list. Radiation: Cu Kα. Structure: a DFT-relaxed cell (GGA+U, Alexandria).

Atomic structure:
Cell lengths 6.9013, 6.9013, 11.7045 Å; angles 90.00, 90.00, 109.20 degrees
Positions (direct):
Mn 0.1471 0.8529 0.7500
Mn 0.8529 0.1471 0.2500
C 0.0313 0.3019 0.1374
C 0.0313 0.3019 0.3626
C 0.3019 0.0313 0.6374
C 0.3019 0.0313 0.8626
C 0.3101 0.6899 0.7500
C 0.6899 0.3101 0.2500
C 0.6981 0.9687 0.1374
C 0.6981 0.9687 0.3626
C 0.9687 0.6981 0.6374
C 0.9687 0.6981 0.8626
I 0.0961 0.9039 0.2500
I 0.9039 0.0961 0.7500
O 0.1435 0.3954 0.0690
O 0.1435 0.3954 0.4310
O 0.3954 0.1435 0.5690
O 0.3954 0.1435 0.9310
O 0.4128 0.5872 0.7500
O 0.5872 0.4128 0.2500
O 0.6046 0.8565 0.0690
O 0.6046 0.8565 0.4310
O 0.8565 0.6046 0.5690
O 0.8565 0.6046 0.9310

Most intense lines, 2θ from 10° to 90°, in order of rising 2θ:
- 2θ = 13.59°, rel. 100
- 2θ = 15.14°, rel. 73
- 2θ = 20.40°, rel. 73
- 2θ = 22.24°, rel. 13
- 2θ = 27.01°, rel. 76
- 2θ = 27.35°, rel. 16
- 2θ = 27.83°, rel. 35
- 2θ = 28.43°, rel. 36
- 2θ = 31.81°, rel. 27
- 2θ = 33.57°, rel. 15
- 2θ = 38.11°, rel. 27
- 2θ = 42.21°, rel. 24